No. 1
Starting from DFT lattice parameters and positions (GGA+U), the powder diffractogram of GeWO4 was calculated for Cu Kα (weighted mean of Kα1 and Kα2).
Intensities are scaled so that the largest is 100.

Largest 8 diffraction maxima, in order of falling intensity, 2θ = 10–80°:
- 2θ 27.18, d 3.281, I = 100
- 2θ 22.05, d 4.031, I = 98
- 2θ 28.51, d 3.131, I = 73
- 2θ 13.99, d 6.330, I = 35
- 2θ 16.98, d 5.220, I = 35
- 2θ 33.12, d 2.705, I = 29
- 2θ 31.10, d 2.876, I = 27
- 2θ 50.08, d 1.821, I = 22

a = 7.6756 Å, b = 7.1208 Å, c = 14.7871 Å
α = 90.00°, β = 121.11°, γ = 90.00°
Element x y z (fractional)
Ge  0.0228  0.2416  0.3688
Ge  0.0228  0.2584  0.8688
Ge  0.4007  0.0367  0.3104
Ge  0.4007  0.4633  0.8104
Ge  0.5993  0.5367  0.1896
Ge  0.5993  0.9633  0.6896
Ge  0.9772  0.7416  0.1312
Ge  0.9772  0.7584  0.6312
W  0.0028  0.6730  0.9219
W  0.0028  0.8270  0.4219
W  0.4352  0.0526  0.0820
W  0.4352  0.4474  0.5820
W  0.5648  0.5526  0.4180
W  0.5648  0.9474  0.9180
W  0.9972  0.1730  0.5781
W  0.9972  0.3270  0.0781
O  0.1345  0.5809  0.0817
O  0.1345  0.9191  0.5817
O  0.1391  0.5110  0.8772
O  0.1391  0.9890  0.3772
O  0.1784  0.2178  0.2051
O  0.1784  0.2822  0.7051
O  0.1884  0.6380  0.4790
O  0.1884  0.8620  0.9790
O  0.1940  0.2241  0.0270
O  0.1940  0.2759  0.5270
O  0.3806  0.7286  0.3392
O  0.3806  0.7714  0.8392
O  0.3962  0.1251  0.9344
O  0.3962  0.3749  0.4344
O  0.4098  0.5570  0.6889
O  0.4098  0.9430  0.1889
O  0.5902  0.0570  0.8111
O  0.5902  0.4430  0.3111
O  0.6038  0.6251  0.5656
O  0.6038  0.8749  0.0656
O  0.6194  0.2286  0.1608
O  0.6194  0.2714  0.6608
O  0.8060  0.7241  0.4730
O  0.8060  0.7759  0.9730
O  0.8116  0.1380  0.0210
O  0.8116  0.3620  0.5210
O  0.8216  0.7178  0.2949
O  0.8216  0.7822  0.7949
O  0.8609  0.0110  0.6228
O  0.8609  0.4890  0.1228
O  0.8655  0.0809  0.4183
O  0.8655  0.4191  0.9183

---

No. 2
Starting from DFT lattice parameters and positions (GGA+U), the powder diffractogram of Li3CrFe2O6 was calculated for Cu Kα (weighted mean of Kα1 and Kα2).
Intensities are scaled so that the largest is 100.

Largest 8 diffraction maxima, in order of falling intensity, 2θ = 10–80°:
- 2θ 18.12, d 4.897, I = 100
- 2θ 42.80, d 2.113, I = 81
- 2θ 35.28, d 2.544, I = 42
- 2θ 62.26, d 1.491, I = 22
- 2θ 62.01, d 1.497, I = 22
- 2θ 65.42, d 1.427, I = 14
- 2θ 56.50, d 1.629, I = 14
- 2θ 46.83, d 1.940, I = 14

a = 6.6871 Å, b = 6.6871 Å, c = 5.9865 Å
α = 103.23°, β = 103.23°, γ = 25.78°
Element x y z (fractional)
Li  0.0000  0.0000  0.0000
Li  0.3342  0.3342  0.6662
Li  0.6658  0.6658  0.3338
Cr  0.0000  0.0000  0.5000
Fe  0.3333  0.3333  0.1671
Fe  0.6667  0.6667  0.8329
O  0.1610  0.1610  0.5951
O  0.1712  0.1712  0.0717
O  0.4949  0.4949  0.2652
O  0.5051  0.5051  0.7348
O  0.8288  0.8288  0.9283
O  0.8390  0.8390  0.4049

---

No. 3
Starting from DFT lattice parameters and positions (GGA+U), the powder diffractogram of La7Mn8O23 was calculated for Cu Kα (weighted mean of Kα1 and Kα2).
Intensities are scaled so that the largest is 100.

Largest 8 diffraction maxima, in order of falling intensity, 2θ = 10–80°:
- 2θ 32.15, d 2.784, I = 100
- 2θ 57.37, d 1.606, I = 20
- 2θ 46.17, d 1.966, I = 19
- 2θ 57.27, d 1.609, I = 19
- 2θ 39.65, d 2.273, I = 15
- 2θ 45.98, d 1.974, I = 11
- 2θ 67.21, d 1.393, I = 11
- 2θ 22.56, d 3.941, I = 7

a = 5.5614 Å, b = 7.8949 Å, c = 11.1201 Å
α = 90.00°, β = 90.08°, γ = 90.00°
Element x y z (fractional)
La  0.0000  0.0000  0.0000
La  0.0022  0.0000  0.5043
La  0.4402  0.5000  0.2545
La  0.5009  0.0000  0.2467
La  0.5037  0.0000  0.7469
La  0.9293  0.5000  0.4924
La  0.9384  0.5000  0.9922
Mn  0.4691  0.2555  0.5047
Mn  0.4691  0.7445  0.5047
Mn  0.4736  0.2552  0.9933
Mn  0.4736  0.7448  0.9933
Mn  0.9716  0.2492  0.2484
Mn  0.9716  0.7508  0.2484
Mn  0.9786  0.2473  0.7525
Mn  0.9786  0.7527  0.7525
O  0.1774  0.2774  0.8958
O  0.1774  0.7226  0.8958
O  0.1861  0.2855  0.3909
O  0.1861  0.7145  0.3909
O  0.2425  0.2060  0.6375
O  0.2425  0.7940  0.6375
O  0.2567  0.2140  0.1406
O  0.2567  0.7860  0.1406
O  0.4618  0.0000  0.9624
O  0.4686  0.0000  0.4696
O  0.4843  0.5000  0.5184
O  0.4862  0.5000  0.0381
O  0.6898  0.2855  0.3598
O  0.6898  0.7145  0.3598
O  0.7096  0.2836  0.8616
O  0.7096  0.7164  0.8616
O  0.7491  0.2119  0.1102
O  0.7491  0.7881  0.1102
O  0.7666  0.2264  0.6083
O  0.7666  0.7736  0.6083
O  0.9540  0.0000  0.7832
O  0.9629  0.0000  0.2830
O  0.9810  0.5000  0.2161

---

No. 4
Starting from DFT lattice parameters and positions (GGA+U), the powder diffractogram of Sr7SmFe4Mo4O24 was calculated for Cu Kα (weighted mean of Kα1 and Kα2).
Intensities are scaled so that the largest is 100.

Largest 8 diffraction maxima, in order of falling intensity, 2θ = 10–80°:
- 2θ 31.79, d 2.815, I = 100
- 2θ 31.39, d 2.850, I = 93
- 2θ 31.52, d 2.838, I = 92
- 2θ 44.59, d 2.032, I = 34
- 2θ 45.38, d 1.998, I = 30
- 2θ 45.76, d 1.983, I = 29
- 2θ 56.56, d 1.627, I = 28
- 2θ 55.83, d 1.647, I = 20

a = 5.6325 Å, b = 5.6780 Å, c = 18.7491 Å
α = 97.57°, β = 90.44°, γ = 119.54°
Element x y z (fractional)
Sr  0.0000  0.0000  0.0000
Sr  0.1158  0.2445  0.3700
Sr  0.3682  0.7491  0.1248
Sr  0.4898  0.9895  0.4976
Sr  0.6203  0.2411  0.8651
Sr  0.7366  0.4970  0.2479
Sr  0.8757  0.7556  0.6363
Sm  0.2256  0.4973  0.7480
Fe  0.4344  0.8715  0.3121
Fe  0.5590  0.1187  0.6906
Fe  0.6802  0.3760  0.0615
Fe  0.9329  0.8702  0.8105
Mo  0.0524  0.1235  0.1855
Mo  0.1818  0.3693  0.5639
Mo  0.3086  0.6236  0.9361
Mo  0.8027  0.6189  0.4347
O  0.1173  0.2683  0.8763
O  0.1491  0.7281  0.3848
O  0.1862  0.9818  0.2534
O  0.1894  0.7693  0.8649
O  0.2348  0.4993  0.2459
O  0.2419  0.0918  0.7416
O  0.3512  0.7386  0.6270
O  0.3965  0.2240  0.1309
O  0.4299  0.2786  0.6093
O  0.4311  0.4770  0.0088
O  0.4527  0.5149  0.4862
O  0.4870  0.9897  0.9964
O  0.6088  0.2474  0.3733
O  0.6406  0.7140  0.8910
O  0.6425  0.9130  0.7566
O  0.6760  0.7745  0.3595
O  0.7092  0.0243  0.2364
O  0.8110  0.4882  0.7497
O  0.8644  0.7453  0.1210
O  0.9185  0.2584  0.1118
O  0.9191  0.2227  0.6390
O  0.9455  0.4656  0.5137
O  0.9705  0.5220  0.9874
O  0.9864  0.9906  0.5016

---

No. 5
Starting from DFT lattice parameters and positions (GGA+U), the powder diffractogram of NiH12S2O14 was calculated for Cu Kα (weighted mean of Kα1 and Kα2).
Intensities are scaled so that the largest is 100.

Largest 8 diffraction maxima, in order of falling intensity, 2θ = 10–80°:
- 2θ 20.62, d 4.307, I = 100
- 2θ 15.92, d 5.565, I = 80
- 2θ 23.28, d 3.822, I = 60
- 2θ 20.91, d 4.249, I = 47
- 2θ 17.12, d 5.181, I = 46
- 2θ 13.99, d 6.328, I = 41
- 2θ 28.74, d 3.106, I = 40
- 2θ 21.05, d 4.221, I = 34

a = 6.4293 Å, b = 12.6569 Å, c = 9.3596 Å
α = 90.00°, β = 105.46°, γ = 90.00°
Element x y z (fractional)
Ni  0.0000  0.0000  0.0000
Ni  0.0000  0.5000  0.5000
H  0.0098  0.1851  0.8640
H  0.0098  0.3149  0.3640
H  0.0605  0.5996  0.7613
H  0.0605  0.9004  0.2613
H  0.0920  0.1240  0.2460
H  0.0920  0.3760  0.7460
H  0.3115  0.0888  0.2146
H  0.3115  0.4112  0.7146
H  0.3299  0.6384  0.5282
H  0.3299  0.8616  0.0282
H  0.3377  0.5562  0.4037
H  0.3377  0.9438  0.9037
H  0.6623  0.0562  0.0963
H  0.6623  0.4438  0.5963
H  0.6701  0.1384  0.9718
H  0.6701  0.3616  0.4718
H  0.6885  0.5888  0.2854
H  0.6885  0.9112  0.7854
H  0.9080  0.6240  0.2540
H  0.9080  0.8760  0.7540
H  0.9395  0.0996  0.7387
H  0.9395  0.4004  0.2387
H  0.9902  0.6851  0.6360
H  0.9902  0.8149  0.1360
S  0.2703  0.6340  0.0957
S  0.2703  0.8660  0.5957
S  0.7297  0.1340  0.4043
S  0.7297  0.3660  0.9043
O  0.0269  0.1104  0.8411
O  0.0269  0.3896  0.3411
O  0.0613  0.6712  0.1128
O  0.0613  0.8288  0.6128
O  0.1587  0.1038  0.1671
O  0.1587  0.3962  0.6671
O  0.2473  0.5812  0.9485
O  0.2473  0.9188  0.4485
O  0.2937  0.5651  0.4960
O  0.2937  0.9349  0.9960
O  0.3848  0.5648  0.2177
O  0.3848  0.9352  0.7177
O  0.4142  0.7250  0.0801
O  0.4142  0.7750  0.5801
O  0.5858  0.2250  0.4199
O  0.5858  0.2750  0.9199
O  0.6152  0.0648  0.2823
O  0.6152  0.4352  0.7823
O  0.7063  0.0651  0.0040
O  0.7063  0.4349  0.5040
O  0.7527  0.0812  0.5515
O  0.7527  0.4188  0.0515
O  0.8413  0.6038  0.3329
O  0.8413  0.8962  0.8329
O  0.9387  0.1712  0.3872
O  0.9387  0.3288  0.8872
O  0.9731  0.6104  0.6589
O  0.9731  0.8896  0.1589

---

No. 6
Starting from DFT lattice parameters and positions (GGA+U), the powder diffractogram of Li4Co7O3F13 was calculated for Cu Kα (weighted mean of Kα1 and Kα2).
Intensities are scaled so that the largest is 100.

Largest 8 diffraction maxima, in order of falling intensity, 2θ = 10–80°:
- 2θ 18.11, d 4.899, I = 100
- 2θ 34.29, d 2.615, I = 82
- 2θ 41.53, d 2.175, I = 44
- 2θ 17.00, d 5.216, I = 37
- 2θ 17.75, d 4.996, I = 36
- 2θ 45.44, d 1.996, I = 35
- 2θ 28.93, d 3.086, I = 25
- 2θ 55.46, d 1.657, I = 17

a = 6.0652 Å, b = 6.0932 Å, c = 10.5398 Å
α = 105.48°, β = 91.49°, γ = 118.99°
Element x y z (fractional)
Li  0.0000  0.0000  0.0000
Li  0.0142  0.5297  0.5014
Li  0.7570  0.8440  0.3829
Li  0.7852  0.3623  0.8812
Co  0.3470  0.4068  0.7136
Co  0.3618  0.9198  0.6926
Co  0.3644  0.1713  0.4429
Co  0.3762  0.9267  0.1916
Co  0.3803  0.6667  0.9437
Co  0.8787  0.4207  0.1939
Co  0.9071  0.9292  0.6894
O  0.1523  0.8445  0.5686
O  0.1577  0.0746  0.8008
O  0.1894  0.5754  0.8094
F  0.1185  0.3211  0.0650
F  0.1242  0.5706  0.3059
F  0.1269  0.7893  0.0696
F  0.1431  0.0351  0.3178
F  0.1493  0.3250  0.5701
F  0.6100  0.3160  0.5764
F  0.6101  0.8215  0.0579
F  0.6262  0.0517  0.3134
F  0.6295  0.7913  0.5824
F  0.6329  0.5549  0.8155
F  0.6379  0.5154  0.3264
F  0.6396  0.2827  0.0762
F  0.6414  0.0339  0.8067